# ZrTi3Sb4
Calculated powder XRD pattern, Cu Kα, 1.54184 Å. Input: a structure optimized by DFT (GGA-PBE).
Neutral-atom scattering factors, no anomalous dispersion.

Atomic structure:
Cell: 5.574 9.703 8.309 Å, 90.00 90.00 90.00°
Sites, in units of the cell vectors:
Zr  0.250  0.250  0.165
Zr  0.750  0.750  0.835
Ti  0.250  0.503  0.669
Ti  0.250  0.750  0.165
Ti  0.250  0.997  0.669
Ti  0.750  0.003  0.331
Ti  0.750  0.250  0.835
Ti  0.750  0.497  0.331
Sb  0.250  0.250  0.818
Sb  0.250  0.507  0.337
Sb  0.250  0.750  0.833
Sb  0.250  0.993  0.337
Sb  0.750  0.007  0.663
Sb  0.750  0.250  0.167
Sb  0.750  0.493  0.663
Sb  0.750  0.750  0.182

Most intense lines, 10° ≤ 2θ ≤ 80°, by intensity:
2theta	d [Å]	I/Imax
21.21	4.190	100
37.39	2.405	92
50.09	1.821	76
32.11	2.787	71
21.39	4.154	52
37.06	2.426	47
38.81	2.321	42
26.62	3.349	40
49.83	1.830	39
38.91	2.315	22